Starting from a DFT-relaxed cell (PBE+U, the Materials Project), the powder X-ray diffraction pattern of Li3VCr2O6 was calculated for λ = 1.5418 Å (Cu Kα).

Most intense lines, 10 to 80 degrees two-theta, sorted by position:
4.893 Å, 18.13 deg, I 100; 2.530 Å, 35.49 deg, I 40; 2.104 Å, 42.99 deg, I 84; 1.937 Å, 46.92 deg, I 9; 1.623 Å, 56.71 deg, I 9; 1.495 Å, 62.07 deg, I 15; 1.486 Å, 62.50 deg, I 8; 1.481 Å, 62.73 deg, I 15

Cell and atoms:
Cell: 6.6779 6.6779 5.9544 Å, 103.64 103.64 25.72°
Fractional coordinates of all 12 atoms:
Li 0.0000 0.0000 0.0000
Li 0.3309 0.3309 0.6656
Li 0.6691 0.6691 0.3344
V 0.0000 0.0000 0.5000
Cr 0.3328 0.3328 0.1662
Cr 0.6672 0.6672 0.8338
O 0.1639 0.1639 0.5993
O 0.1719 0.1719 0.0691
O 0.4948 0.4948 0.2610
O 0.5052 0.5052 0.7390
O 0.8281 0.8281 0.9309
O 0.8361 0.8361 0.4007